The following is a calculated X-ray diffraction stick pattern of Tb2Nd4SmTm. It was derived from a DFT-relaxed cell (PBE, Alexandria), using Cu Kα (λ = 1.5418 Å).
Lines closer than 0.1° are merged.

Atomic structure:
```
data_Tb2Nd4SmTm
_chemical_formula_sum 'Tb2 Nd4 Sm1 Tm1'
_cell_length_a 5.1236
_cell_length_b 5.1495
_cell_length_c 10.1577
_cell_angle_alpha 90.00
_cell_angle_beta 90.00
_cell_angle_gamma 90.00
_space_group_name_H-M_alt 'P 1'
_space_group_IT_number 1
_space_group_name_Hall 'P 1'
loop_
_atom_site_label
_atom_site_fract_x
_atom_site_fract_y
_atom_site_fract_z
Tb1 0.0000 0.0000 0.0000
Tb2 0.5000 0.5000 0.5000
Nd1 0.0000 0.5000 0.2477
Nd2 0.0000 0.5000 0.7523
Nd3 0.5000 0.0000 0.2478
Nd4 0.5000 0.0000 0.7522
Sm1 0.0000 0.0000 0.5000
Tm1 0.5000 0.5000 0.0000
```

The 10 most intense peaks (2θ = 5–70°), low angle first:
| (hkl) | 2θ (°) | intensity |
| --- | --- | --- |
| 1 1 2 | 30.3 | 1000 |
| 0 2 0 | 34.8 | 172 |
| 2 0 0 | 35.0 | 170 |
| 0 0 4 | 35.3 | 165 |
| 2 2 0 | 50.2 | 122 |
| 0 2 4 | 50.5 | 120 |
| 1 3 2 | 59.7 | 146 |
| 3 1 2 | 59.9 | 144 |
| 1 1 6 | 60.3 | 141 |
| 2 2 4 | 62.9 | 124 |